# 1
CePrHo2Er: calculated powder X-ray diffraction pattern (Cu Kα, 1.54184 Å), based on a DFT-relaxed cell (PBE, Alexandria).
Lines closer than 0.1° are merged.

Structural model:
Lattice parameters (Å, degrees): 5.8518 7.7292 7.2596 90.00 90.00 90.00
Atoms (fractional coordinates):
Ce: 0.0000 0.0000 0.0000
Ce: 0.5000 0.0000 0.0000
Pr: 0.2500 0.5000 0.1642
Pr: 0.7500 0.5000 0.8358
Ho: 0.2500 0.2893 0.6755
Ho: 0.2500 0.7107 0.6755
Ho: 0.7500 0.2893 0.3245
Ho: 0.7500 0.7107 0.3245
Er: 0.2500 0.0000 0.3842
Er: 0.7500 0.0000 0.6158

Principal peaks in the range 2θ = 5–70°, in order of rising 2θ:
2θ/deg	intensity
27.14	21
30.33	100
30.55	25
31.22	49
33.01	19
35.04	26
37.30	18
48.74	21
54.17	22
54.68	28

---

# 2
CeSmHo2Er: calculated powder X-ray diffraction pattern (Cu Kα, 1.54184 Å), based on a DFT-relaxed cell (PBE, Alexandria).
Lines closer than 0.1° are merged.

Structural model:
Lattice parameters (Å, degrees): 5.8366 7.7267 7.1673 90.00 90.00 90.00
Atoms (fractional coordinates):
Ce: 0.0000 0.0000 0.0000
Ce: 0.5000 0.0000 0.0000
Sm: 0.2500 0.5000 0.1621
Sm: 0.7500 0.5000 0.8379
Ho: 0.2500 0.2917 0.6783
Ho: 0.2500 0.7083 0.6783
Ho: 0.7500 0.2917 0.3217
Ho: 0.7500 0.7083 0.3217
Er: 0.2500 0.0000 0.3880
Er: 0.7500 0.0000 0.6120

Principal peaks in the range 2θ = 5–70°, in order of rising 2θ:
2θ/deg	intensity
27.43	22
30.42	100
30.63	26
31.50	50
33.14	18
35.18	27
48.84	22
52.22	17
54.32	20
55.05	29

---

# 3
Tb2CeHoEr: calculated powder X-ray diffraction pattern (Cu Kα, 1.54184 Å), based on a DFT-relaxed cell (PBE, Alexandria).
Lines closer than 0.1° are merged.

Structural model:
Lattice parameters (Å, degrees): 5.8792 8.0225 6.7843 90.00 90.00 90.00
Atoms (fractional coordinates):
Tb: 0.2500 0.1985 0.1896
Tb: 0.2500 0.8015 0.1896
Tb: 0.7500 0.1985 0.8104
Tb: 0.7500 0.8015 0.8104
Ce: 0.0000 0.5000 0.5000
Ce: 0.5000 0.5000 0.5000
Ho: 0.2500 0.5000 0.9114
Ho: 0.7500 0.5000 0.0886
Er: 0.2500 0.0000 0.6612
Er: 0.7500 0.0000 0.3388

Principal peaks in the range 2θ = 5–70°, in order of rising 2θ:
2θ/deg	intensity
28.57	34
30.01	100
30.41	40
32.45	62
35.10	34
39.32	20
47.90	28
53.79	20
56.21	22
66.38	18

---

# 4
Tb3CeHoEr: calculated powder X-ray diffraction pattern (Cu Kα, 1.54184 Å), based on a DFT-relaxed cell (PBE, Alexandria).
Lines closer than 0.1° are merged.

Structural model:
Lattice parameters (Å, degrees): 6.5062 6.5062 11.4513 90.00 90.00 128.60
Atoms (fractional coordinates):
Tb: 0.1366 0.8634 0.7500
Tb: 0.3268 0.6732 0.5326
Tb: 0.3268 0.6732 0.9674
Tb: 0.6732 0.3268 0.0326
Tb: 0.6732 0.3268 0.4674
Tb: 0.8634 0.1366 0.2500
Ce: 0.4708 0.5292 0.2500
Ce: 0.5292 0.4708 0.7500
Ho: 0.0000 0.0000 0.0000
Ho: 0.0000 0.0000 0.5000
Er: 0.1718 0.8282 0.2500
Er: 0.8282 0.1718 0.7500

Principal peaks in the range 2θ = 5–70°, in order of rising 2θ:
2θ/deg	intensity
29.26	8
31.24	25
31.72	30
31.94	100
45.12	18
46.47	7
56.05	13
56.64	20
57.36	8
66.78	8

---

# 5
Ce3HoEr2Te6: calculated powder X-ray diffraction pattern (Cu Kα, 1.54184 Å), based on a DFT-relaxed cell (PBE, Alexandria).
Lines closer than 0.1° are merged.

Structural model:
Lattice parameters (Å, degrees): 7.5467 7.5467 7.7881 99.29 99.29 120.10
Atoms (fractional coordinates):
Ce: 0.0000 0.0000 0.0000
Ce: 0.3340 0.6660 0.0000
Ce: 0.6660 0.3340 0.0000
Ho: 0.5000 0.5000 0.5000
Er: 0.1667 0.8333 0.5000
Er: 0.8333 0.1667 0.5000
Te: 0.0869 0.4213 0.2638
Te: 0.2442 0.2442 0.7356
Te: 0.4213 0.0869 0.2638
Te: 0.5787 0.9131 0.7362
Te: 0.7558 0.7558 0.2644
Te: 0.9131 0.5787 0.7362

Principal peaks in the range 2θ = 5–70°, in order of rising 2θ:
2θ/deg	intensity
12.01	2
24.95	1
28.65	100
40.47	39
41.47	37
49.47	7
51.18	20
59.33	13
66.48	17
67.91	17

---

# 6
CeHoEr2Tm: calculated powder X-ray diffraction pattern (Cu Kα, 1.54184 Å), based on a DFT-relaxed cell (PBE, Alexandria).
Lines closer than 0.1° are merged.

Structural model:
Lattice parameters (Å, degrees): 7.5869 7.1886 5.7684 90.00 90.06 90.00
Atoms (fractional coordinates):
Ce: 0.0000 0.0000 0.0000
Ce: 0.0000 0.0000 0.5000
Ho: 0.5000 0.1564 0.2500
Ho: 0.5000 0.8436 0.7500
Er: 0.2926 0.3233 0.7501
Er: 0.2926 0.6767 0.2501
Er: 0.7074 0.3233 0.7499
Er: 0.7074 0.6767 0.2499
Tm: 0.0000 0.3856 0.2500
Tm: 0.0000 0.6144 0.7500

Principal peaks in the range 2θ = 5–70°, in order of rising 2θ:
2θ/deg	intensity
27.46	21
30.83	100
31.01	27
31.61	56
33.48	17
35.55	38
49.59	23
52.62	18
55.05	20
55.42	18

---

# 7
CeHoEr3Tm: calculated powder X-ray diffraction pattern (Cu Kα, 1.54184 Å), based on a DFT-relaxed cell (PBE, Alexandria).
Lines closer than 0.1° are merged.

Structural model:
Lattice parameters (Å, degrees): 7.8467 7.8467 9.9140 90.00 90.00 143.07
Atoms (fractional coordinates):
Ce: 0.9999 0.0001 0.2500
Ce: 0.0001 0.9999 0.7500
Ho: 0.5000 0.5000 0.0000
Ho: 0.5000 0.5000 0.5000
Er: 0.1650 0.8350 0.0000
Er: 0.1650 0.8350 0.5000
Er: 0.3326 0.6674 0.7500
Er: 0.6674 0.3326 0.2500
Er: 0.8350 0.1650 0.0000
Er: 0.8350 0.1650 0.5000
Tm: 0.3327 0.6673 0.2500
Tm: 0.6673 0.3327 0.7500

Principal peaks in the range 2θ = 5–70°, in order of rising 2θ:
2θ/deg	intensity
31.22	100
36.20	51
52.12	36
61.99	28
62.08	14
65.11	12

---

# 8
CeHo2ErTm: calculated powder X-ray diffraction pattern (Cu Kα, 1.54184 Å), based on a DFT-relaxed cell (PBE, Alexandria).
Lines closer than 0.1° are merged.

Structural model:
Lattice parameters (Å, degrees): 5.7795 7.5962 7.1858 90.00 90.00 90.00
Atoms (fractional coordinates):
Ce: 0.0000 0.0000 0.0000
Ce: 0.5000 0.0000 0.0000
Ho: 0.2500 0.2929 0.3221
Ho: 0.2500 0.7071 0.3221
Ho: 0.7500 0.2929 0.6779
Ho: 0.7500 0.7071 0.6779
Er: 0.2500 0.5000 0.8453
Er: 0.7500 0.5000 0.1547
Tm: 0.2500 0.0000 0.6133
Tm: 0.7500 0.0000 0.3867

Principal peaks in the range 2θ = 5–70°, in order of rising 2θ:
2θ/deg	intensity
27.46	21
30.80	100
30.95	27
31.60	57
33.42	16
35.49	39
49.51	24
52.60	17
54.94	22
55.41	30

---

# 9
CeHo2Er6Tm3: calculated powder X-ray diffraction pattern (Cu Kα, 1.54184 Å), based on a DFT-relaxed cell (PBE, Alexandria).
Lines closer than 0.1° are merged.

Structural model:
Lattice parameters (Å, degrees): 6.0727 6.0727 11.6227 95.00 95.00 119.96
Atoms (fractional coordinates):
Ce: 0.0000 0.0000 0.0000
Ho: 0.3334 0.6666 0.0000
Ho: 0.6666 0.3334 0.0000
Er: 0.0839 0.4152 0.2509
Er: 0.2475 0.2475 0.7488
Er: 0.4152 0.0839 0.2509
Er: 0.5848 0.9161 0.7491
Er: 0.7525 0.7525 0.2512
Er: 0.9161 0.5848 0.7491
Tm: 0.1674 0.8326 0.5000
Tm: 0.5000 0.5000 0.5000
Tm: 0.8326 0.1674 0.5000

Principal peaks in the range 2θ = 5–70°, in order of rising 2θ:
2θ/deg	intensity
31.25	100
36.24	51
52.18	36
62.09	43
65.18	12

---

# 10
CeErI6: calculated powder X-ray diffraction pattern (Cu Kα, 1.54184 Å), based on a DFT-relaxed cell (PBE, Alexandria).
Lines closer than 0.1° are merged.

Structural model:
Lattice parameters (Å, degrees): 8.0445 14.0054 7.8079 90.00 93.56 90.00
Atoms (fractional coordinates):
Ce: 0.0000 0.0000 0.0000
Ce: 0.5000 0.5000 0.0000
Er: 0.0000 0.0000 0.5000
Er: 0.5000 0.5000 0.5000
I: 0.1496 0.1484 0.2729
I: 0.1496 0.8516 0.2729
I: 0.2009 0.5000 0.2443
I: 0.2991 0.0000 0.7557
I: 0.3504 0.3516 0.7271
I: 0.3504 0.6484 0.7271
I: 0.6496 0.3516 0.2729
I: 0.6496 0.6484 0.2729
I: 0.7009 0.0000 0.2443
I: 0.7991 0.5000 0.7557
I: 0.8504 0.1484 0.7271
I: 0.8504 0.8516 0.7271

Principal peaks in the range 2θ = 5–70°, in order of rising 2θ:
2θ/deg	intensity
12.69	100
24.30	17
24.52	33
25.16	33
25.58	19
31.41	26
32.43	13
33.02	13
38.57	12
38.78	24

---

# 11
Ce2ErIn9: calculated powder X-ray diffraction pattern (Cu Kα, 1.54184 Å), based on a DFT-relaxed cell (PBE, Alexandria).
Lines closer than 0.1° are merged.

Structural model:
Lattice parameters (Å, degrees): 4.6827 4.6827 14.0226 90.00 90.00 90.00
Atoms (fractional coordinates):
Ce: 0.0000 0.0000 0.1696
Ce: 0.0000 0.0000 0.8304
Er: 0.0000 0.0000 0.5000
In: 0.0000 0.5000 0.0000
In: 0.0000 0.5000 0.3371
In: 0.0000 0.5000 0.6629
In: 0.5000 0.0000 0.0000
In: 0.5000 0.0000 0.3371
In: 0.5000 0.0000 0.6629
In: 0.5000 0.5000 0.1669
In: 0.5000 0.5000 0.5000
In: 0.5000 0.5000 0.8331

Principal peaks in the range 2θ = 5–70°, in order of rising 2θ:
2θ/deg	intensity
6.30	1
18.96	1
26.94	1
33.16	100
38.47	50
43.23	1
55.54	33
66.23	39
69.59	11

---

# 12
Ce2ErIn: calculated powder X-ray diffraction pattern (Cu Kα, 1.54184 Å), based on a DFT-relaxed cell (PBE, Alexandria).
Lines closer than 0.1° are merged.

Structural model:
Lattice parameters (Å, degrees): 6.5343 5.2510 7.0786 90.00 117.37 90.00
Atoms (fractional coordinates):
Ce: 0.1676 0.2500 0.3871
Ce: 0.2802 0.7500 0.6123
Ce: 0.7198 0.2500 0.3877
Ce: 0.8324 0.7500 0.6129
Er: 0.3154 0.7500 0.1290
Er: 0.6846 0.2500 0.8710
In: 0.1808 0.2500 0.8626
In: 0.8192 0.7500 0.1374

Principal peaks in the range 2θ = 5–70°, in order of rising 2θ:
2θ/deg	intensity
30.84	60
33.22	100
34.15	47
35.37	79
46.68	39
54.86	12
54.96	12
60.55	18
61.93	15
63.54	13

---

# 13
CeEr2In4: calculated powder X-ray diffraction pattern (Cu Kα, 1.54184 Å), based on a DFT-relaxed cell (PBE, Alexandria).
Lines closer than 0.1° are merged.

Structural model:
Lattice parameters (Å, degrees): 5.1850 5.1850 7.5805 90.00 90.00 90.00
Atoms (fractional coordinates):
Ce: 0.0000 0.0000 0.0000
Er: 0.0000 0.0000 0.5000
Er: 0.5000 0.5000 0.0000
In: 0.0000 0.5000 0.2750
In: 0.0000 0.5000 0.7250
In: 0.5000 0.0000 0.2750
In: 0.5000 0.0000 0.7250

Principal peaks in the range 2θ = 5–70°, in order of rising 2θ:
2θ/deg	intensity
17.10	6
20.76	15
27.01	10
34.02	100
34.60	50
40.69	5
48.01	8
49.74	18
60.52	16
61.63	35